# KZn2SiOs
Theoretical X-ray diffraction stick pattern, copper Kα. Input: a structure optimized by DFT (PBE).
Neutral-atom scattering factors, no anomalous dispersion.

Cell and atoms:
Unit cell a=4.9727 b=4.9727 c=4.5852 alpha=90.00 beta=90.00 gamma=90.00
Sites, in units of the cell vectors:
K 0.0000 0.0000 0.0000
Zn 0.0000 0.5000 0.5000
Zn 0.5000 0.0000 0.5000
Si 0.5000 0.5000 0.0000
Os 0.5000 0.5000 0.5000

Most intense lines, 2θ = 10–90°, in order of rising 2θ:
| 2theta | d [Å] | I (rel.) |
| --- | --- | --- |
| 17.84 | 4.973 | 98 |
| 19.36 | 4.585 | 88 |
| 26.44 | 3.371 | 100 |
| 36.13 | 2.486 | 90 |
| 39.30 | 2.293 | 35 |
| 41.31 | 2.186 | 54 |
| 45.32 | 2.001 | 47 |
| 52.02 | 1.758 | 31 |
| 54.44 | 1.685 | 54 |
| 67.09 | 1.395 | 28 |

# KSrOs
Theoretical X-ray diffraction stick pattern, copper Kα. Input: a structure optimized by DFT (PBE).
Neutral-atom scattering factors, no anomalous dispersion.

Cell and atoms:
Unit cell a=2.9070 b=4.3127 c=15.6287 alpha=90.00 beta=90.00 gamma=90.00
Sites, in units of the cell vectors:
K 0.0000 0.0000 0.0000
K 0.5000 0.5000 0.5000
Sr 0.0000 0.0000 0.2438
Sr 0.5000 0.5000 0.7438
Os 0.0000 0.0000 0.6397
Os 0.5000 0.5000 0.1397

Most intense lines, 2θ = 10–90°, in order of rising 2θ:
| 2theta | d [Å] | I (rel.) |
| --- | --- | --- |
| 11.32 | 7.814 | 100 |
| 26.84 | 3.322 | 46 |
| 35.36 | 2.539 | 22 |
| 35.47 | 2.531 | 27 |
| 37.30 | 2.411 | 28 |
| 39.11 | 2.303 | 21 |
| 42.47 | 2.129 | 16 |
| 55.95 | 1.643 | 12 |
| 61.05 | 1.518 | 10 |
| 61.18 | 1.515 | 11 |

# KTeOs3
Theoretical X-ray diffraction stick pattern, copper Kα. Input: a structure optimized by DFT (PBE).
Neutral-atom scattering factors, no anomalous dispersion.

Cell and atoms:
Unit cell a=4.9423 b=4.9423 c=4.9423 alpha=90.00 beta=90.00 gamma=90.00
Sites, in units of the cell vectors:
K 0.0000 0.0000 0.0000
Te 0.5000 0.5000 0.5000
Os 0.0000 0.5000 0.5000
Os 0.5000 0.0000 0.5000
Os 0.5000 0.5000 0.0000

Most intense lines, 2θ = 10–90°, in order of rising 2θ:
| 2theta | d [Å] | I (rel.) |
| --- | --- | --- |
| 17.95 | 4.942 | 79 |
| 31.35 | 2.853 | 85 |
| 36.36 | 2.471 | 100 |
| 40.83 | 2.210 | 41 |
| 52.36 | 1.747 | 71 |
| 55.80 | 1.647 | 21 |
| 62.31 | 1.490 | 37 |
| 65.41 | 1.427 | 24 |
| 85.67 | 1.134 | 16 |
| 88.47 | 1.105 | 33 |

# KZn2Os
Theoretical X-ray diffraction stick pattern, copper Kα. Input: a structure optimized by DFT (PBE).
Neutral-atom scattering factors, no anomalous dispersion.

Cell and atoms:
Unit cell a=2.7015 b=4.0110 c=7.3569 alpha=90.00 beta=90.22 gamma=90.00
Sites, in units of the cell vectors:
K 0.0000 0.0000 0.0000
Zn 0.4991 0.5000 0.3320
Zn 0.5009 0.5000 0.6680
Os 0.0000 0.0000 0.5000

Most intense lines, 2θ = 10–90°, in order of rising 2θ:
| 2theta | d [Å] | I (rel.) |
| --- | --- | --- |
| 12.03 | 7.357 | 100 |
| 24.20 | 3.678 | 11 |
| 33.04 | 2.711 | 37 |
| 40.25 | 2.241 | 33 |
| 41.39 | 2.181 | 10 |
| 41.55 | 2.173 | 10 |
| 42.16 | 2.143 | 20 |
| 43.24 | 2.092 | 16 |
| 45.21 | 2.005 | 12 |
| 54.92 | 1.672 | 8 |

# KP
Theoretical X-ray diffraction stick pattern, copper Kα. Input: a structure optimized by DFT (PBE).
Neutral-atom scattering factors, no anomalous dispersion.

Cell and atoms:
Unit cell a=9.4559 b=3.7596 c=6.2386 alpha=90.00 beta=90.00 gamma=90.00
Sites, in units of the cell vectors:
K 0.1805 0.2500 0.0950
K 0.3195 0.7500 0.5950
K 0.6805 0.2500 0.4050
K 0.8195 0.7500 0.9050
P 0.0293 0.2500 0.5967
P 0.4707 0.7500 0.0967
P 0.5293 0.2500 0.9033
P 0.9707 0.7500 0.4033

Most intense lines, 2θ = 10–90°, in order of rising 2θ:
| 2theta | d [Å] | I (rel.) |
| --- | --- | --- |
| 17.03 | 5.207 | 23 |
| 29.30 | 3.048 | 58 |
| 30.17 | 2.962 | 63 |
| 30.38 | 2.943 | 70 |
| 31.81 | 2.813 | 100 |
| 33.68 | 2.661 | 56 |
| 38.70 | 2.327 | 74 |
| 48.42 | 1.880 | 24 |
| 53.99 | 1.698 | 37 |
| 59.13 | 1.562 | 45 |

# KP3
Theoretical X-ray diffraction stick pattern, copper Kα. Input: a structure optimized by DFT (PBE).
Neutral-atom scattering factors, no anomalous dispersion.

Cell and atoms:
Unit cell a=5.1855 b=6.1183 c=6.7515 alpha=90.00 beta=90.00 gamma=90.00
Sites, in units of the cell vectors:
K 0.2500 0.2500 0.0832
K 0.7500 0.7500 0.9168
P 0.2500 0.5679 0.4936
P 0.2500 0.7500 0.2152
P 0.2500 0.9321 0.4936
P 0.7500 0.0679 0.5064
P 0.7500 0.2500 0.7848
P 0.7500 0.4321 0.5064

Most intense lines, 2θ = 10–90°, in order of rising 2θ:
| 2theta | d [Å] | I (rel.) |
| --- | --- | --- |
| 13.11 | 6.751 | 23 |
| 21.61 | 4.112 | 80 |
| 26.11 | 3.413 | 100 |
| 26.40 | 3.376 | 24 |
| 32.12 | 2.786 | 64 |
| 34.60 | 2.593 | 67 |
| 36.61 | 2.455 | 30 |
| 43.57 | 2.077 | 20 |
| 47.93 | 1.898 | 50 |
| 55.55 | 1.654 | 39 |

# K3P5
Theoretical X-ray diffraction stick pattern, copper Kα. Input: a structure optimized by DFT (PBE).
Neutral-atom scattering factors, no anomalous dispersion.

Cell and atoms:
Unit cell a=8.1573 b=8.1573 c=9.3683 alpha=99.97 beta=99.97 gamma=119.35
Sites, in units of the cell vectors:
K 0.0000 0.0000 0.0000
K 0.1875 0.6238 0.2123
K 0.1974 0.1974 0.5237
K 0.4051 0.8667 0.7327
K 0.6238 0.1875 0.2123
K 0.8667 0.4051 0.7327
P 0.3358 0.4928 0.8816
P 0.3801 0.3801 0.2784
P 0.4928 0.3358 0.8816
P 0.5300 0.7612 0.0502
P 0.6293 0.6293 0.2661
P 0.6630 0.9066 0.4118
P 0.7612 0.5300 0.0502
P 0.8045 0.9551 0.6402
P 0.9066 0.6630 0.4118
P 0.9551 0.8045 0.6402

Most intense lines, 2θ = 10–90°, in order of rising 2θ:
| 2theta | d [Å] | I (rel.) |
| --- | --- | --- |
| 13.05 | 6.782 | 29 |
| 13.89 | 6.377 | 67 |
| 22.15 | 4.013 | 30 |
| 23.85 | 3.732 | 47 |
| 25.15 | 3.541 | 100 |
| 31.32 | 2.856 | 30 |
| 33.56 | 2.670 | 31 |
| 34.22 | 2.621 | 25 |
| 37.55 | 2.395 | 38 |
| 48.79 | 1.866 | 27 |

# KP
Theoretical X-ray diffraction stick pattern, copper Kα. Input: a structure optimized by DFT (PBE).
Neutral-atom scattering factors, no anomalous dispersion.

Cell and atoms:
Unit cell a=5.1892 b=11.3861 c=3.7594 alpha=90.00 beta=90.00 gamma=90.00
Sites, in units of the cell vectors:
K 0.0000 0.1399 0.2500
K 0.0000 0.8601 0.7500
K 0.5000 0.3601 0.7500
K 0.5000 0.6399 0.2500
P 0.0000 0.4411 0.2500
P 0.0000 0.5589 0.7500
P 0.5000 0.0589 0.7500
P 0.5000 0.9411 0.2500

Most intense lines, 2θ = 10–90°, in order of rising 2θ:
| 2theta | d [Å] | I (rel.) |
| --- | --- | --- |
| 15.57 | 5.693 | 20 |
| 29.15 | 3.063 | 76 |
| 30.39 | 2.941 | 100 |
| 34.57 | 2.595 | 48 |
| 37.89 | 2.375 | 64 |
| 39.72 | 2.269 | 26 |
| 48.43 | 1.880 | 17 |
| 53.66 | 1.708 | 20 |
| 57.52 | 1.602 | 18 |
| 65.84 | 1.418 | 17 |

# KP2
Theoretical X-ray diffraction stick pattern, copper Kα. Input: a structure optimized by DFT (PBE).
Neutral-atom scattering factors, no anomalous dispersion.

Cell and atoms:
Unit cell a=3.3625 b=7.6923 c=6.3214 alpha=90.00 beta=90.00 gamma=90.00
Sites, in units of the cell vectors:
K 0.0000 0.0000 0.0000
K 0.5000 0.5000 0.5000
P 0.2494 0.0895 0.5000
P 0.2506 0.5895 0.0000
P 0.7494 0.4105 0.0000
P 0.7506 0.9105 0.5000

Most intense lines, 2θ = 10–90°, in order of rising 2θ:
| 2theta | d [Å] | I (rel.) |
| --- | --- | --- |
| 23.13 | 3.846 | 74 |
| 28.23 | 3.161 | 100 |
| 28.98 | 3.081 | 30 |
| 30.10 | 2.969 | 26 |
| 32.32 | 2.770 | 28 |
| 35.46 | 2.531 | 30 |
| 36.81 | 2.442 | 40 |
| 45.93 | 1.976 | 27 |
| 46.82 | 1.940 | 31 |
| 58.02 | 1.590 | 35 |

# KP7
Theoretical X-ray diffraction stick pattern, copper Kα. Input: a structure optimized by DFT (PBE).
Neutral-atom scattering factors, no anomalous dispersion.

Cell and atoms:
Unit cell a=5.7424 b=5.7424 c=5.7424 alpha=60.00 beta=60.00 gamma=60.00
Sites, in units of the cell vectors:
K 0.0000 0.0000 0.0000
P 0.0000 0.0000 0.5000
P 0.0000 0.5000 0.0000
P 0.0000 0.5000 0.5000
P 0.5000 0.0000 0.0000
P 0.5000 0.0000 0.5000
P 0.5000 0.5000 0.0000
P 0.5000 0.5000 0.5000

Most intense lines, 2θ = 10–90°, in order of rising 2θ:
| 2theta | d [Å] | I (rel.) |
| --- | --- | --- |
| 18.93 | 4.689 | 1 |
| 36.70 | 2.449 | 1 |
| 38.40 | 2.344 | 100 |
| 44.63 | 2.030 | 47 |
| 64.96 | 1.436 | 29 |
| 78.05 | 1.224 | 35 |
| 82.25 | 1.172 | 10 |

# K4PPb
Theoretical X-ray diffraction stick pattern, copper Kα. Input: a structure optimized by DFT (PBE).
Neutral-atom scattering factors, no anomalous dispersion.

Cell and atoms:
Unit cell a=6.8484 b=6.8484 c=6.8484 alpha=60.00 beta=60.00 gamma=60.00
Sites, in units of the cell vectors:
K 0.1236 0.1236 0.1236
K 0.1236 0.1236 0.6291
K 0.1236 0.6291 0.1236
K 0.6291 0.1236 0.1236
P 0.7500 0.7500 0.7500
Pb 0.5000 0.5000 0.5000

Most intense lines, 2θ = 10–90°, in order of rising 2θ:
| 2theta | d [Å] | I (rel.) |
| --- | --- | --- |
| 15.85 | 5.592 | 41 |
| 18.32 | 4.843 | 33 |
| 26.02 | 3.424 | 54 |
| 30.61 | 2.920 | 100 |
| 32.01 | 2.796 | 22 |
| 41.71 | 2.166 | 17 |
| 45.90 | 1.977 | 24 |
| 48.86 | 1.864 | 36 |
| 53.52 | 1.712 | 20 |
| 75.38 | 1.261 | 22 |

# K2PPbSe4
Theoretical X-ray diffraction stick pattern, copper Kα. Input: a structure optimized by DFT (PBE).
Neutral-atom scattering factors, no anomalous dispersion.

Cell and atoms:
Unit cell a=8.2062 b=8.2465 c=8.6712 alpha=66.18 beta=78.03 gamma=74.35
Sites, in units of the cell vectors:
K 0.0000 0.0000 0.0000
K 0.0058 0.1578 0.4627
K 0.0462 0.6284 0.5512
K 0.5364 0.5946 0.5474
P 0.5057 0.0841 0.5705
P 0.9639 0.4206 0.0807
Pb 0.4610 0.2069 0.1100
Pb 0.5226 0.7465 0.0258
Se 0.1977 0.5291 0.9208
Se 0.2869 0.9126 0.2434
Se 0.3217 0.9010 0.7114
Se 0.3659 0.3514 0.3988
Se 0.6313 0.1144 0.7645
Se 0.7099 0.9692 0.4066
Se 0.7923 0.4426 0.8932
Se 0.8345 0.6290 0.2099

Most intense lines, 2θ = 10–90°, in order of rising 2θ:
| 2theta | d [Å] | I (rel.) |
| --- | --- | --- |
| 11.25 | 7.864 | 100 |
| 24.15 | 3.686 | 21 |
| 24.43 | 3.644 | 22 |
| 26.43 | 3.372 | 23 |
| 27.25 | 3.273 | 17 |
| 29.58 | 3.020 | 28 |
| 30.29 | 2.951 | 31 |
| 31.59 | 2.832 | 29 |
| 33.77 | 2.654 | 27 |
| 40.47 | 2.229 | 13 |

Which formula does entry 2 have?
KSrOs